For ZrCrCd2As, DFT lattice parameters and positions (GGA-PBE) gives the computed XRD peak list in this record (Cu Ka).
Lines closer than 0.1° are merged.

Top 10 peaks for 10° ≤ 2θ ≤ 90°, by intensity:
two_theta	I/Imax	hkl
32.64	100	2 0 0
29.06	95	1 1 1
49.12	61	2 0 2
17.62	40	0 0 1
35.67	39	0 0 2
16.15	37	1 0 0
46.83	35	2 2 0
60.23	32	2 2 2
56.06	28	3 1 1
37.33	25	2 0 1

Cell and atoms:
```
data_ZrCrCd2As
_symmetry_space_group_name_H-M 'P 4/m m m'
_symmetry_Int_Tables_number 123
_symmetry_space_group_name_Hall '-P 4 2'
_cell_length_a 5.487
_cell_length_b 5.487
_cell_length_c 5.034
_cell_angle_alpha 90.00
_cell_angle_beta 90.00
_cell_angle_gamma 90.00
loop_
_atom_site_label
_atom_site_type_symbol
_atom_site_fract_x
_atom_site_fract_y
_atom_site_fract_z
_atom_site_occupancy
Zr1 Zr 0.000 0.000 0.000 1
Cr1 Cr 0.500 0.500 0.500 1
Cd1 Cd 0.000 0.500 0.000 1
As1 As 0.000 0.000 0.500 1
```

=====

For CsCd5As4, DFT lattice parameters and positions (GGA-PBE) gives the computed XRD peak list in this record (Cu Ka).
Lines closer than 0.1° are merged.

Top 10 peaks for 10° ≤ 2θ ≤ 90°, by intensity:
two_theta	I/Imax	hkl
30.75	100	1 2 1
41.78	73	1 2 5
25.15	55	1 0 3
37.67	45	2 0 0
33.97	37	0 0 6
32.82	23	0 2 4
42.22	23	1 3 2
20.55	22	0 1 3
51.62	21	2 0 6
50.81	20	2 2 4

Cell and atoms:
```
data_CsCd5As4
_symmetry_space_group_name_H-M 'I m m m'
_symmetry_Int_Tables_number 71
_symmetry_space_group_name_Hall '-I 2 2'
_cell_length_a 4.776
_cell_length_b 7.535
_cell_length_c 15.833
_cell_angle_alpha 90.00
_cell_angle_beta 90.00
_cell_angle_gamma 90.00
loop_
_atom_site_label
_atom_site_type_symbol
_atom_site_fract_x
_atom_site_fract_y
_atom_site_fract_z
_atom_site_occupancy
Cs1 Cs 0.000 0.000 0.000 1
Cd1 Cd 0.000 0.282 0.328 1
Cd2 Cd 0.000 0.500 0.000 1
As1 As 0.000 0.000 0.219 1
As2 As 0.000 0.179 0.500 1
```

=====

For CsCd2As2, DFT lattice parameters and positions (GGA-PBE) gives the computed XRD peak list in this record (Cu Ka).
Lines closer than 0.1° are merged.

Top 10 peaks for 10° ≤ 2θ ≤ 90°, by intensity:
two_theta	I/Imax	hkl
30.40	100	1 1 2
26.78	89	1 0 3
39.73	58	2 0 0
46.65	53	1 1 6
48.57	34	2 1 3
12.04	33	0 0 2
37.20	32	1 1 4
77.03	23	3 1 6
65.36	22	2 0 8
66.39	20	3 1 2

Cell and atoms:
```
data_CsCd2As2
_symmetry_space_group_name_H-M 'I 4/m m m'
_symmetry_Int_Tables_number 139
_symmetry_space_group_name_Hall '-I 4 2'
_cell_length_a 4.537
_cell_length_b 4.537
_cell_length_c 14.699
_cell_angle_alpha 90.00
_cell_angle_beta 90.00
_cell_angle_gamma 90.00
loop_
_atom_site_label
_atom_site_type_symbol
_atom_site_fract_x
_atom_site_fract_y
_atom_site_fract_z
_atom_site_occupancy
Cs1 Cs 0.000 0.000 0.000 1
Cd1 Cd 0.000 0.500 0.250 1
As1 As 0.000 0.000 0.360 1
```

=====

For Cs2Cd2As, DFT lattice parameters and positions (GGA-PBE) gives the computed XRD peak list in this record (Cu Ka).
Lines closer than 0.1° are merged.

Top 10 peaks for 10° ≤ 2θ ≤ 90°, by intensity:
two_theta	I/Imax	hkl
29.61	100	2 1 1
29.51	35	0 0 2
27.25	28	2 0 1
36.53	21	3 1 0
47.63	20	3 1 2
52.41	20	2 1 3
50.68	15	4 1 1
52.06	8	3 2 2
22.86	7	2 0 0
32.56	7	2 2 0

Cell and atoms:
```
data_Cs2Cd2As
_symmetry_space_group_name_H-M 'P 4/m b m'
_symmetry_Int_Tables_number 127
_symmetry_space_group_name_Hall '-P 4 2ab'
_cell_length_a 7.779
_cell_length_b 7.779
_cell_length_c 6.055
_cell_angle_alpha 90.00
_cell_angle_beta 90.00
_cell_angle_gamma 90.00
loop_
_atom_site_label
_atom_site_type_symbol
_atom_site_fract_x
_atom_site_fract_y
_atom_site_fract_z
_atom_site_occupancy
Cs1 Cs 0.187 0.313 0.000 1
Cd1 Cd 0.135 0.635 0.500 1
As1 As 0.000 0.000 0.500 1
```

=====

For CsCd4As3, DFT lattice parameters and positions (GGA-PBE) gives the computed XRD peak list in this record (Cu Ka).
Lines closer than 0.1° are merged.

Top 10 peaks for 10° ≤ 2θ ≤ 90°, by intensity:
two_theta	I/Imax	hkl
25.33	100	1 0 2
39.36	94	2 0 0
37.07	94	1 1 3
28.75	76	1 1 1
43.20	58	1 1 4
32.09	42	1 1 2
24.31	37	0 0 3
47.38	36	2 1 2
56.88	31	2 2 0
65.26	30	2 0 6

Cell and atoms:
```
data_CsCd4As3
_symmetry_space_group_name_H-M 'P 4/m m m'
_symmetry_Int_Tables_number 123
_symmetry_space_group_name_Hall '-P 4 2'
_cell_length_a 4.579
_cell_length_b 4.579
_cell_length_c 10.983
_cell_angle_alpha 90.00
_cell_angle_beta 90.00
_cell_angle_gamma 90.00
loop_
_atom_site_label
_atom_site_type_symbol
_atom_site_fract_x
_atom_site_fract_y
_atom_site_fract_z
_atom_site_occupancy
Cs1 Cs 0.000 0.000 0.000 1
Cd1 Cd 0.000 0.500 0.337 1
As1 As 0.000 0.000 0.500 1
As2 As 0.500 0.500 0.200 1
```

=====

For CsCd6As4, DFT lattice parameters and positions (GGA-PBE) gives the computed XRD peak list in this record (Cu Ka).
Lines closer than 0.1° are merged.

Top 10 peaks for 10° ≤ 2θ ≤ 90°, by intensity:
two_theta	I/Imax	hkl
37.44	100	1 1 8
37.96	98	2 0 0
24.78	78	1 0 5
42.48	55	1 1 10
27.38	47	1 1 2
54.76	33	2 2 0
68.23	32	3 1 8
25.88	32	0 0 8
29.64	31	1 1 4
45.86	29	2 1 5

Cell and atoms:
```
data_CsCd6As4
_symmetry_space_group_name_H-M 'I 4/m m m'
_symmetry_Int_Tables_number 139
_symmetry_space_group_name_Hall '-I 4 2'
_cell_length_a 4.741
_cell_length_b 4.741
_cell_length_c 27.541
_cell_angle_alpha 90.00
_cell_angle_beta 90.00
_cell_angle_gamma 90.00
loop_
_atom_site_label
_atom_site_type_symbol
_atom_site_fract_x
_atom_site_fract_y
_atom_site_fract_z
_atom_site_occupancy
Cs1 Cs 0.000 0.000 0.000 1
Cd1 Cd 0.000 0.500 0.131 1
Cd2 Cd 0.000 0.500 0.250 1
As1 As 0.000 0.000 0.194 1
As2 As 0.000 0.000 0.421 1
```

=====

For Cs3Cd6As5, DFT lattice parameters and positions (GGA-PBE) gives the computed XRD peak list in this record (Cu Ka).
Lines closer than 0.1° are merged.

Top 10 peaks for 10° ≤ 2θ ≤ 90°, by intensity:
two_theta	I/Imax	hkl
30.48	100	1 3 2
29.09	42	1 0 3
28.56	32	0 3 3
39.00	32	2 0 0
37.27	25	0 6 0
52.36	20	1 3 6
55.04	18	2 6 0
39.85	17	1 3 4
49.05	14	2 3 3
47.95	11	0 6 4

Cell and atoms:
```
data_Cs3Cd6As5
_symmetry_space_group_name_H-M 'P m m n'
_symmetry_Int_Tables_number 59
_cell_length_a 4.618
_cell_length_b 14.475
_cell_length_c 12.308
_cell_angle_alpha 90.00
_cell_angle_beta 90.00
_cell_angle_gamma 90.00
loop_
_symmetry_equiv_pos_as_xyz
'x,y,z'
'-x,-y,-z'
'-x+1/2,-y+1/2,z'
'x+1/2,y+1/2,-z'
'x+1/2,-y,-z'
'-x+1/2,y,z'
'-x,y+1/2,-z'
'x,-y+1/2,z'
loop_
_atom_site_label
_atom_site_type_symbol
_atom_site_fract_x
_atom_site_fract_y
_atom_site_fract_z
_atom_site_occupancy
Cs1 Cs 0.250 0.109 0.247 1
Cs2 Cs 0.250 0.750 0.253 1
Cd1 Cd 0.250 0.051 0.615 1
Cd2 Cd 0.250 0.250 0.501 1
Cd3 Cd 0.250 0.250 0.972 1
Cd4 Cd 0.250 0.579 0.017 1
As1 As 0.250 0.073 0.853 1
As2 As 0.250 0.614 0.499 1
As3 As 0.250 0.750 0.909 1
```

=====

For Cs2CdAs, DFT lattice parameters and positions (GGA-PBE) gives the computed XRD peak list in this record (Cu Ka).
Lines closer than 0.1° are merged.

Top 10 peaks for 10° ≤ 2θ ≤ 90°, by intensity:
two_theta	I/Imax	hkl
23.08	100	2 1 1
23.24	88	3 1 -1
24.60	85	0 2 1
19.64	48	1 0 -2
26.61	47	1 2 1
33.66	41	3 1 -3
41.99	39	3 3 -2
31.95	38	2 1 -3
35.04	38	3 2 1
26.88	36	3 1 -2

Cell and atoms:
```
data_Cs2CdAs
_symmetry_space_group_name_H-M 'P 1 21/c 1'
_symmetry_Int_Tables_number 14
_cell_length_a 13.257
_cell_length_b 7.994
_cell_length_c 9.040
_cell_angle_alpha 90.00
_cell_angle_beta 109.33
_cell_angle_gamma 90.00
loop_
_symmetry_equiv_pos_as_xyz
'x,y,z'
'-x,-y,-z'
'-x,y+1/2,-z+1/2'
'x,-y+1/2,z+1/2'
loop_
_atom_site_label
_atom_site_type_symbol
_atom_site_fract_x
_atom_site_fract_y
_atom_site_fract_z
_atom_site_occupancy
Cs1 Cs 0.137 0.080 0.317 1
Cs2 Cs 0.334 0.568 0.396 1
Cd1 Cd 0.463 0.122 0.333 1
As1 As 0.411 0.152 0.600 1
```

=====

Repeat the third record exactly.
For CsCd2As2, DFT lattice parameters and positions (GGA-PBE) gives the computed XRD peak list in this record (Cu Ka).
Lines closer than 0.1° are merged.

Top 10 peaks for 10° ≤ 2θ ≤ 90°, by intensity:
two_theta	I/Imax	hkl
30.40	100	1 1 2
26.78	89	1 0 3
39.73	58	2 0 0
46.65	53	1 1 6
48.57	34	2 1 3
12.04	33	0 0 2
37.20	32	1 1 4
77.03	23	3 1 6
65.36	22	2 0 8
66.39	20	3 1 2

Cell and atoms:
```
data_CsCd2As2
_symmetry_space_group_name_H-M 'I 4/m m m'
_symmetry_Int_Tables_number 139
_symmetry_space_group_name_Hall '-I 4 2'
_cell_length_a 4.537
_cell_length_b 4.537
_cell_length_c 14.699
_cell_angle_alpha 90.00
_cell_angle_beta 90.00
_cell_angle_gamma 90.00
loop_
_atom_site_label
_atom_site_type_symbol
_atom_site_fract_x
_atom_site_fract_y
_atom_site_fract_z
_atom_site_occupancy
Cs1 Cs 0.000 0.000 0.000 1
Cd1 Cd 0.000 0.500 0.250 1
As1 As 0.000 0.000 0.360 1
```

=====

Copy entry 5 word for word.
For CsCd4As3, DFT lattice parameters and positions (GGA-PBE) gives the computed XRD peak list in this record (Cu Ka).
Lines closer than 0.1° are merged.

Top 10 peaks for 10° ≤ 2θ ≤ 90°, by intensity:
two_theta	I/Imax	hkl
25.33	100	1 0 2
39.36	94	2 0 0
37.07	94	1 1 3
28.75	76	1 1 1
43.20	58	1 1 4
32.09	42	1 1 2
24.31	37	0 0 3
47.38	36	2 1 2
56.88	31	2 2 0
65.26	30	2 0 6

Cell and atoms:
```
data_CsCd4As3
_symmetry_space_group_name_H-M 'P 4/m m m'
_symmetry_Int_Tables_number 123
_symmetry_space_group_name_Hall '-P 4 2'
_cell_length_a 4.579
_cell_length_b 4.579
_cell_length_c 10.983
_cell_angle_alpha 90.00
_cell_angle_beta 90.00
_cell_angle_gamma 90.00
loop_
_atom_site_label
_atom_site_type_symbol
_atom_site_fract_x
_atom_site_fract_y
_atom_site_fract_z
_atom_site_occupancy
Cs1 Cs 0.000 0.000 0.000 1
Cd1 Cd 0.000 0.500 0.337 1
As1 As 0.000 0.000 0.500 1
As2 As 0.500 0.500 0.200 1
```

=====

What is the formula in the seventh record?
Cs3Cd6As5